1.
The following is a calculated powder diffraction line list of LiFeSiO4. It was derived from a cell relaxed with GGA+U, using λ = 1.5418 Å (Cu Kα).
Neutral-atom scattering factors, no anomalous dispersion.

Principal peaks in the range 2θ = 15–90°, low angle first:
20.15°, I 34.1
21.72°, I 100.0
22.21°, I 31.8
25.70°, I 97.8
31.13°, I 93.7
34.23°, I 81.4
48.84°, I 41.8
65.75°, I 51.5

Structure:
```
LiFeSiO4
1.0
6.932 4.002 3.157
-6.932 4.002 3.157
0.000 -8.004 3.157
Li Fe Si O
6 6 6 24
Cartesian
-1.601 -2.294 2.397
-1.186 2.534 2.397
2.787 -0.240 2.397
-2.787 0.240 7.076
1.186 -2.534 7.076
1.601 2.294 7.076
-5.656 1.471 4.012
-4.102 -4.162 5.460
1.554 -5.634 4.012
-1.554 5.634 5.460
4.102 4.162 4.012
5.656 -1.471 5.460
-2.756 0.223 4.011
-1.571 -2.276 5.461
1.185 -2.498 4.011
-1.185 2.498 5.461
1.571 2.276 4.011
2.756 -0.223 5.461
-4.366 0.032 4.100
-4.849 -2.464 5.587
-2.287 0.876 2.587
-0.290 -5.431 3.885
0.385 -2.418 2.587
-4.559 2.967 3.885
-2.067 -1.304 4.187
-2.211 -3.765 5.373
2.155 -3.798 4.100
-2.162 1.138 5.286
0.096 -2.442 5.286
1.902 1.543 2.587
-1.902 -1.543 6.886
-0.096 2.442 4.187
2.162 -1.138 4.187
-2.155 3.798 5.373
2.211 3.765 4.100
2.067 1.304 5.286
4.559 -2.967 5.587
-0.385 2.418 6.886
0.290 5.431 5.587
2.287 -0.876 6.886
4.849 2.464 3.885
4.366 -0.032 5.373
```

---

2.
The following is a calculated powder diffraction line list of LiFeSiO4. It was derived from a cell relaxed with GGA+U, using λ = 1.5418 Å (Cu Kα).
Neutral-atom scattering factors, no anomalous dispersion.

Principal peaks in the range 2θ = 15–90°, low angle first:
21.15°, I 100.0
27.41°, I 50.6
30.08°, I 13.0
34.88°, I 29.0
46.71°, I 27.9
51.81°, I 16.5
58.10°, I 14.6
65.40°, I 21.5

Structure:
```
LiFeSiO4
1.0
7.274 0.000 0.000
0.000 7.276 0.000
0.000 0.000 7.278
Li Fe Si O
4 4 4 16
Cartesian
0.003 7.273 0.004
7.271 3.635 3.635
3.634 0.003 3.643
3.640 3.642 7.274
0.407 0.407 3.230
3.229 6.869 6.869
4.044 3.231 4.048
6.866 4.045 0.409
1.584 2.054 5.694
2.053 5.222 2.054
5.220 1.584 1.585
5.690 5.692 5.224
0.532 4.580 1.984
0.655 2.984 6.630
0.946 1.985 4.170
1.652 0.531 6.333
1.985 6.745 2.694
2.691 5.291 0.531
2.982 4.293 2.991
3.105 2.696 5.624
4.169 6.334 5.294
4.292 0.654 0.648
4.583 1.653 3.108
5.289 3.107 0.945
5.621 4.169 4.584
6.328 5.623 6.747
6.619 6.622 4.288
6.742 0.942 1.655
```

---

3.
The following is a calculated powder diffraction line list of Li2FeSi3O8. It was derived from a cell relaxed with GGA+U, using λ = 1.5418 Å (Cu Kα).
Neutral-atom scattering factors, no anomalous dispersion.

Principal peaks in the range 2θ = 15–90°, low angle first:
19.05°, I 41.0
19.33°, I 35.0
20.08°, I 60.4
21.01°, I 100.0
21.49°, I 74.2
28.53°, I 19.9
33.36°, I 39.6
37.27°, I 17.8

Structure:
```
Li2FeSi3O8
1.0
6.725 0.000 0.000
-2.281 9.809 0.000
-1.667 -4.302 11.442
Li Fe Si O
8 4 12 32
Cartesian
0.000 0.000 0.000
-1.711 0.035 9.237
-1.265 5.053 8.635
1.978 2.487 0.427
1.388 2.754 5.721
1.343 7.091 3.515
4.071 2.300 2.914
3.369 5.241 6.149
-1.709 2.574 6.263
1.389 4.076 2.923
3.628 -0.178 0.542
5.060 -2.979 8.645
-0.653 4.737 0.677
-1.412 2.644 10.248
-0.647 5.140 5.277
1.672 0.734 2.617
1.100 -1.239 8.661
0.722 1.675 8.422
3.018 -2.318 6.399
3.926 -0.110 4.526
3.023 -1.916 10.999
3.060 3.488 8.338
4.153 5.813 2.937
3.777 8.729 2.699
-2.514 2.487 9.013
-2.096 5.267 4.431
-2.042 7.350 2.716
0.225 0.209 3.165
-0.364 6.278 0.171
-0.511 -1.327 8.606
-1.164 4.690 6.737
0.680 3.922 1.067
1.711 0.535 0.984
0.040 1.909 6.979
-0.347 1.489 9.686
0.413 4.093 4.656
-0.866 4.142 10.422
0.030 6.679 5.129
1.914 -2.224 7.619
2.066 2.214 3.127
1.572 -1.789 10.155
2.824 -0.267 3.290
1.631 0.299 8.443
1.611 2.967 8.887
3.307 -0.777 5.892
2.542 5.727 2.883
4.175 1.936 1.018
2.070 6.675 6.788
3.099 3.289 6.705
3.095 8.965 1.258
4.990 -1.266 3.965
4.083 -2.963 10.377
4.470 1.387 4.700
3.699 -0.378 10.849
4.962 4.828 1.891
3.455 4.968 8.848
```

---

4.
The following is a calculated powder diffraction line list of LiFeSiO4. It was derived from a cell relaxed with GGA+U, using λ = 1.5418 Å (Cu Kα).
Neutral-atom scattering factors, no anomalous dispersion.

Principal peaks in the range 2θ = 15–90°, low angle first:
21.30°, I 100.0
22.29°, I 86.3
27.05°, I 81.2
27.69°, I 35.5
31.57°, I 41.8
33.59°, I 32.9
45.44°, I 22.5
58.80°, I 22.2

Structure:
```
LiFeSiO4
1.0
8.288 0.000 0.000
0.000 5.336 0.000
-2.300 0.000 8.182
Li Fe Si O
4 4 4 16
Cartesian
0.000 0.799 0.000
-1.150 4.537 4.091
3.202 1.782 2.395
2.052 3.554 6.486
0.032 1.791 3.004
-1.118 3.544 7.095
3.401 0.923 5.697
4.551 4.413 1.606
0.197 0.894 6.103
1.347 4.442 2.012
5.839 1.755 0.585
4.689 3.581 4.676
-0.523 0.979 4.617
0.627 4.356 0.526
-0.757 1.677 7.203
0.394 3.658 3.112
1.522 0.702 2.421
0.371 4.633 6.512
1.662 1.641 6.020
2.812 3.695 1.929
4.535 0.913 1.155
3.385 4.422 5.246
4.184 2.039 4.389
5.334 3.296 0.299
4.199 1.140 7.386
5.349 4.195 3.295
7.101 1.557 1.615
5.951 3.779 5.706
```

---

5.
The following is a calculated powder diffraction line list of LiFeSi3O8. It was derived from a cell relaxed with GGA+U, using λ = 1.5418 Å (Cu Kα).
Neutral-atom scattering factors, no anomalous dispersion.

Principal peaks in the range 2θ = 15–90°, low angle first:
22.55°, I 100.0
24.21°, I 40.7
27.34°, I 51.8
27.66°, I 20.6
28.12°, I 48.0
28.27°, I 40.8
28.99°, I 19.5
35.36°, I 24.4

Structure:
```
LiFeSi3O8
1.0
7.111 0.000 0.000
-2.546 7.265 0.000
-0.906 -4.107 6.450
Li Fe Si O
2 2 6 16
Cartesian
0.108 0.831 1.764
3.551 2.327 4.686
0.501 0.729 5.098
3.158 2.429 1.352
0.254 -2.434 5.478
-0.620 5.283 1.333
-0.396 3.293 3.654
4.055 -0.134 2.796
4.279 -2.124 5.117
3.405 5.593 0.972
-2.098 5.981 1.080
-1.655 3.496 4.709
-0.807 3.901 2.197
-0.817 0.891 6.378
-0.038 1.706 3.516
0.681 -1.090 4.696
1.535 1.683 0.622
2.736 -0.889 2.224
0.923 4.048 4.226
2.124 1.476 5.828
2.979 4.248 1.754
3.697 1.452 2.934
4.476 2.267 0.072
4.466 -0.742 4.253
5.314 -0.337 1.741
5.757 -2.822 5.370
```

---

6.
The following is a calculated powder diffraction line list of Li4Fe3Si3O12. It was derived from a cell relaxed with GGA+U, using λ = 1.5418 Å (Cu Kα).
Neutral-atom scattering factors, no anomalous dispersion.

Principal peaks in the range 2θ = 15–90°, low angle first:
19.68°, I 90.2
29.17°, I 45.9
35.44°, I 100.0
46.52°, I 11.2
48.07°, I 10.1
59.20°, I 23.4
60.49°, I 15.1
64.27°, I 10.4

Structure:
```
Li4Fe3Si3O12
1.0
5.010 -2.164 0.000
5.010 2.164 0.000
-4.369 0.000 11.698
Li Fe Si O
4 3 3 12
Cartesian
-0.183 0.000 4.857
-2.344 -0.008 10.680
5.834 0.000 6.841
7.994 -0.008 1.017
0.889 -0.015 1.981
2.825 0.013 5.849
4.761 -0.015 9.716
-1.228 -0.013 7.799
5.010 0.010 0.000
6.879 -0.013 3.898
3.162 1.267 4.419
2.489 1.267 7.278
4.540 0.995 1.243
1.111 0.995 10.454
0.004 -1.046 8.192
-0.642 -0.959 11.253
1.407 -1.186 5.168
2.231 -1.269 2.568
6.293 -0.959 0.445
5.647 -1.046 3.505
4.244 -1.186 6.530
3.420 -1.269 9.129
```

---

7.
The following is a calculated powder diffraction line list of LiFeSi3O8. It was derived from a cell relaxed with GGA+U, using λ = 1.5418 Å (Cu Kα).
Neutral-atom scattering factors, no anomalous dispersion.

Principal peaks in the range 2θ = 15–90°, low angle first:
15.08°, I 29.1
21.82°, I 100.0
23.07°, I 78.0
23.56°, I 37.8
26.95°, I 85.4
27.21°, I 63.4
27.46°, I 72.6
34.94°, I 31.0

Structure:
```
LiFeSi3O8
1.0
4.103 -6.616 0.000
4.103 6.616 0.000
-3.315 0.000 6.495
Li Fe Si O
2 2 6 16
Cartesian
0.472 0.000 2.191
4.419 0.000 4.305
-1.325 -0.693 5.436
6.216 -0.693 1.059
-1.243 2.363 5.442
1.679 3.088 4.643
3.213 3.088 1.853
3.057 -1.412 1.801
1.834 -1.412 4.694
6.134 2.363 1.053
1.503 4.710 4.757
0.198 2.374 4.636
2.353 2.505 0.569
3.388 4.710 1.738
2.446 2.641 3.248
2.073 -0.593 0.802
0.299 -0.929 4.602
2.538 2.505 5.926
4.693 2.374 1.860
2.446 -0.974 3.248
2.975 -3.012 1.533
2.818 -0.593 5.694
4.592 -0.929 1.893
1.916 -3.012 4.962
2.859 -5.609 1.452
2.033 -5.609 5.043
```

---

8.
The following is a calculated powder diffraction line list of Li2FeSiO4. It was derived from a cell relaxed with GGA+U, using λ = 1.5418 Å (Cu Kα).
Neutral-atom scattering factors, no anomalous dispersion.

Principal peaks in the range 2θ = 15–90°, low angle first:
21.79°, I 100.0
23.92°, I 12.2
26.87°, I 14.5
33.21°, I 98.3
36.28°, I 15.7
40.82°, I 13.1
46.97°, I 24.9
59.31°, I 35.5

Structure:
```
Li2FeSiO4
1.0
3.720 -3.922 0.000
3.720 3.922 0.000
0.000 0.000 6.226
Li Fe Si O
4 2 2 8
Cartesian
3.720 2.431 4.670
2.424 0.000 0.000
5.016 0.000 3.113
3.720 -2.431 1.557
3.720 2.524 1.557
3.720 -2.524 4.670
2.384 0.000 3.113
5.056 0.000 0.000
1.453 0.042 1.744
1.453 -0.042 4.482
3.400 1.307 3.123
4.040 1.307 6.216
3.400 -1.307 3.103
4.040 -1.307 0.010
5.987 0.042 1.369
5.987 -0.042 4.857
```